Theoretical powder XRD pattern of SiAg6HgSe6 for a wavelength of 1.5418 Å, from a crystal structure in Alexandria, relaxed with PBE.
Lines closer than 0.1° are merged.

Top 12 peaks for 10 to 90 degrees two-theta, sorted by position:
two_theta, I_rel, h k l
13.76, 425, 1 0 1
24.09, 445, 0 2 1
27.73, 1000, 2 0 2
28.10, 704, 0 2 2
30.01, 828, 2 1 2
32.96, 298, 2 2 1
35.45, 320, 3 1 0
37.03, 366, 1 3 1
42.02, 841, 2 3 1
42.72, 314, 0 3 3
45.18, 462, 4 0 0
46.75, 629, 2 2 4

Structural model:
```
data_SiAg6HgSe6
_chemical_formula_sum 'Si2 Ag12 Hg2 Se12'
_symmetry_space_group_name_H-M 'P m n 21'
_symmetry_Int_Tables_number 31
_symmetry_space_group_name_Hall 'P 2ac -2'
_cell_length_a 8.025
_cell_length_b 7.865
_cell_length_c 10.763
_cell_angle_alpha 90.00
_cell_angle_beta 90.00
_cell_angle_gamma 90.00
loop_
_atom_site_label
_atom_site_fract_x
_atom_site_fract_y
_atom_site_fract_z
_atom_site_occupancy
Si1 0.000 0.244 0.000 1
Ag1 0.000 0.739 0.008 1
Ag2 0.000 0.877 0.514 1
Ag3 0.188 0.107 0.349 1
Ag4 0.237 0.411 0.687 1
Hg1 0.000 0.513 0.387 1
Se1 0.000 0.014 0.868 1
Se2 0.000 0.255 0.529 1
Se3 0.000 0.471 0.866 1
Se4 0.000 0.787 0.252 1
Se5 0.233 0.256 0.125 1
```



Theoretical powder XRD pattern of SrCl2 for a wavelength of 1.5418 Å, from a crystal structure in Alexandria, relaxed with PBE.
Lines closer than 0.1° are merged.

Top 12 peaks for 10 to 90 degrees two-theta, sorted by position:
two_theta, I_rel, h k l
19.41, 1000, 0 2 1
26.13, 226, 0 0 2
26.40, 201, 1 1 1
29.94, 207, 0 2 2
30.83, 644, 1 3 0
33.58, 831, 1 3 1
35.01, 830, 1 1 2
39.41, 330, 0 4 2
42.37, 187, 0 2 3
44.25, 243, 2 0 0
46.15, 220, 0 6 1
60.74, 237, 2 4 2

Structural model:
```
data_SrCl2
_chemical_formula_sum 'Sr4 Cl8'
_symmetry_space_group_name_H-M 'C m c 21'
_symmetry_Int_Tables_number 36
_symmetry_space_group_name_Hall 'C 2c -2'
_cell_length_a 4.094
_cell_length_b 12.324
_cell_length_c 6.821
_cell_angle_alpha 90.00
_cell_angle_beta 90.00
_cell_angle_gamma 90.00
loop_
_atom_site_label
_atom_site_fract_x
_atom_site_fract_y
_atom_site_fract_z
_atom_site_occupancy
Sr1 0.000 0.118 0.000 1
Cl1 0.000 0.222 0.586 1
Cl2 0.000 0.493 0.771 1
```



Theoretical powder XRD pattern of FeSi23 for a wavelength of 1.5418 Å, from a crystal structure in Alexandria, relaxed with PBE.
Lines closer than 0.1° are merged.

Top 12 peaks for 10 to 90 degrees two-theta, sorted by position:
two_theta, I_rel, h k l
12.27, 543, 1 1 0
19.45, 576, 2 1 0
31.62, 136, 3 2 0
32.84, 1000, 3 2 1
36.30, 196, 4 1 0
37.39, 230, 3 3 0
40.51, 182, 4 2 1
48.02, 136, 4 3 2
52.28, 304, 5 3 0
53.10, 164, 5 3 1
53.92, 209, 6 0 0
55.52, 431, 5 3 2

Structural model:
```
data_FeSi23
_chemical_formula_sum 'Fe2 Si46'
_symmetry_space_group_name_H-M 'P m -3 n'
_symmetry_Int_Tables_number 223
_symmetry_space_group_name_Hall '-P 4n 2 3'
_cell_length_a 10.203
_cell_length_b 10.203
_cell_length_c 10.203
_cell_angle_alpha 90.00
_cell_angle_beta 90.00
_cell_angle_gamma 90.00
loop_
_atom_site_label
_atom_site_fract_x
_atom_site_fract_y
_atom_site_fract_z
_atom_site_occupancy
Fe1 0.000 0.000 0.000 1
Si1 0.000 0.117 0.308 1
Si2 0.000 0.250 0.500 1
Si3 0.182 0.182 0.182 1
```



Theoretical powder XRD pattern of Na6Ag5 for a wavelength of 1.5418 Å, from a crystal structure in Alexandria, relaxed with PBE.
Lines closer than 0.1° are merged.

Top 12 peaks for 10 to 90 degrees two-theta, sorted by position:
two_theta, I_rel, h k l
16.57, 1000, 0 1 -1
32.87, 156, 1 -2 0
33.50, 162, 0 2 -2
33.72, 149, 1 2 -1
33.98, 166, 0 1 -3
35.95, 330, 2 0 -1
36.60, 268, 1 1 2
37.08, 255, -1 1 3
38.72, 165, -1 2 2
38.86, 160, 1 2 1
39.23, 114, 2 -1 0
40.41, 105, 2 1 -2

Structural model:
```
data_Na6Ag5
_chemical_formula_sum 'Na6 Ag5'
_symmetry_space_group_name_H-M 'P -1'
_symmetry_Int_Tables_number 2
_symmetry_space_group_name_Hall '-P 1'
_cell_length_a 5.000
_cell_length_b 6.407
_cell_length_c 8.597
_cell_angle_alpha 96.15
_cell_angle_beta 105.09
_cell_angle_gamma 91.46
loop_
_atom_site_label
_atom_site_fract_x
_atom_site_fract_y
_atom_site_fract_z
_atom_site_occupancy
Na1 0.099 0.445 0.189 1
Na2 0.196 0.068 0.383 1
Na3 0.385 0.272 0.790 1
Ag1 0.000 0.000 0.000 1
Ag2 0.274 0.607 0.548 1
Ag3 0.433 0.833 0.865 1
```



Theoretical powder XRD pattern of La2CdGe3Pt6 for a wavelength of 1.5418 Å, from a crystal structure in Alexandria, relaxed with PBE.
Lines closer than 0.1° are merged.

Top 12 peaks for 10 to 90 degrees two-theta, sorted by position:
two_theta, I_rel, h k l
21.98, 440, 0 0 4
22.23, 320, 1 0 1
30.96, 306, 1 0 4
31.14, 894, 1 1 1
34.96, 1000, 1 1 3
38.03, 564, 1 1 4
41.68, 235, 1 1 5
43.87, 907, 2 0 0
44.96, 496, 1 0 7
45.82, 225, 1 1 6
63.78, 299, 2 2 0
64.63, 333, 2 1 7

Structural model:
```
data_La2CdGe3Pt6
_chemical_formula_sum 'La2 Cd1 Ge3 Pt6'
_symmetry_space_group_name_H-M 'P 4/m m m'
_symmetry_Int_Tables_number 123
_symmetry_space_group_name_Hall '-P 4 2'
_cell_length_a 4.127
_cell_length_b 4.127
_cell_length_c 16.173
_cell_angle_alpha 90.00
_cell_angle_beta 90.00
_cell_angle_gamma 90.00
loop_
_atom_site_label
_atom_site_fract_x
_atom_site_fract_y
_atom_site_fract_z
_atom_site_occupancy
La1 0.000 0.000 0.208 1
Cd1 0.000 0.000 0.500 1
Ge1 0.500 0.500 0.000 1
Ge2 0.500 0.500 0.299 1
Pt1 0.000 0.500 0.380 1
Pt2 0.500 0.500 0.146 1
```



Theoretical powder XRD pattern of La3PmDy7 for a wavelength of 1.5418 Å, from a crystal structure in Alexandria, relaxed with PBE.
Lines closer than 0.1° are merged.

Top 12 peaks for 10 to 90 degrees two-theta, sorted by position:
two_theta, I_rel, h k l
30.59, 937, 4 0 0
30.76, 786, 2 0 -2
31.16, 1000, 1 3 1
32.91, 608, 2 0 2
37.25, 632, 3 3 -1
50.43, 243, 5 3 1
50.65, 225, 1 3 -3
54.31, 195, 0 6 0
57.50, 159, 0 0 4
63.63, 199, 4 6 0
63.71, 266, 2 6 -2
64.98, 177, 2 6 2

Structural model:
```
data_La3PmDy7
_chemical_formula_sum 'La6 Pm2 Dy14'
_symmetry_space_group_name_H-M 'C 1 2/m 1'
_symmetry_Int_Tables_number 12
_symmetry_space_group_name_Hall '-C 2y'
_cell_length_a 11.725
_cell_length_b 10.134
_cell_length_c 6.428
_cell_angle_alpha 90.00
_cell_angle_beta 94.47
_cell_angle_gamma 90.00
loop_
_atom_site_label
_atom_site_fract_x
_atom_site_fract_y
_atom_site_fract_z
_atom_site_occupancy
La1 0.000 0.000 0.000 1
La2 0.000 0.179 0.500 1
Pm1 0.000 0.500 0.000 1
Dy1 0.000 0.500 0.500 1
Dy2 0.239 0.000 0.708 1
Dy3 0.241 0.330 0.763 1
```